Structure and theoretical X-ray diffraction stick pattern of Hf6BSb3 (a crystal structure in Alexandria, relaxed with PBE; Cu Kα).
Neutral-atom scattering factors, no anomalous dispersion.

Largest 6 diffraction maxima, by angle, 2θ from 10° to 80°:
2θ (°)	intensity	(hkl)
29.68	85	1 2 0
31.15	51	2 1 -2
32.01	70	1 0 -4
32.54	100	2 1 -1
34.13	77	1 1 2
39.41	59	1 3 -1

Cell and atoms:
a b c (Å): 6.2359 7.3717 11.2569
angles (deg): 90.00 123.23 90.00
Atoms (fractional coordinates):
Hf (0.0665, 0.2148, 0.4402)
Hf (0.0665, 0.2852, 0.9402)
Hf (0.2895, 0.6450, 0.4499)
Hf (0.2895, 0.8550, 0.9499)
Hf (0.3782, 0.0296, 0.2217)
Hf (0.3782, 0.4704, 0.7217)
Hf (0.6218, 0.5296, 0.2783)
Hf (0.6218, 0.9704, 0.7783)
Hf (0.7105, 0.1450, 0.0501)
Hf (0.7105, 0.3550, 0.5501)
Hf (0.9335, 0.7148, 0.0598)
Hf (0.9335, 0.7852, 0.5598)
B (0.0000, 0.0000, 0.0000)
B (0.0000, 0.5000, 0.5000)
Sb (0.1622, 0.1242, 0.7346)
Sb (0.1622, 0.3758, 0.2346)
Sb (0.5000, 0.0000, 0.5000)
Sb (0.5000, 0.5000, 0.0000)
Sb (0.8378, 0.6242, 0.7654)
Sb (0.8378, 0.8758, 0.2654)